Record 1
Starting from a structure optimized by DFT (PBE), the powder X-ray diffraction pattern of K2CeTeSe4 was computed for λ = 1.5418 Å (Cu Kα).

Most intense lines, 2θ = 10–80°, in order of rising 2θ:
- 2θ = 11.53°, 7.675 Å, rel. 57
- 2θ = 12.55°, 7.055 Å, rel. 17
- 2θ = 20.49°, 4.335 Å, rel. 19
- 2θ = 24.99°, 3.564 Å, rel. 60
- 2θ = 29.48°, 3.030 Å, rel. 100
- 2θ = 39.03°, 2.308 Å, rel. 33
- 2θ = 41.64°, 2.169 Å, rel. 25
- 2θ = 42.17°, 2.143 Å, rel. 34

Cell and atoms:
a b c (Å): 8.6107 8.6107 8.7935
angles (deg): 114.60 114.60 89.40
Atoms (fractional coordinates):
K1 0.0000 0.0000 0.0000
K2 0.0000 0.0000 0.5000
K3 0.0000 0.5000 0.0000
K4 0.5000 0.0000 0.5000
Ce1 0.5000 0.5000 0.0000
Ce2 0.5000 0.5000 0.5000
Te1 0.0000 0.5000 0.5000
Te2 0.5000 0.0000 0.0000
Se1 0.2250 0.6912 0.4554
Se2 0.2791 0.3187 0.5823
Se3 0.3088 0.7750 0.0446
Se4 0.3187 0.2791 0.0823
Se5 0.6813 0.7209 0.9177
Se6 0.6912 0.2250 0.9554
Se7 0.7209 0.6813 0.4177
Se8 0.7750 0.3088 0.5446


Record 2
Starting from a structure optimized by DFT (PBE), the powder X-ray diffraction pattern of LiCu2PdCl6 was computed for λ = 1.5418 Å (Cu Kα).

Most intense lines, 2θ = 10–80°, in order of rising 2θ:
- 2θ = 14.45°, 6.128 Å, rel. 40
- 2θ = 17.09°, 5.188 Å, rel. 30
- 2θ = 20.57°, 4.318 Å, rel. 100
- 2θ = 24.45°, 3.641 Å, rel. 63
- 2θ = 25.22°, 3.532 Å, rel. 46
- 2θ = 34.75°, 2.582 Å, rel. 18
- 2θ = 42.25°, 2.139 Å, rel. 27
- 2θ = 49.11°, 1.855 Å, rel. 19

Cell and atoms:
a b c (Å): 6.2995 6.4935 6.8437
angles (deg): 86.22 69.81 70.92
Atoms (fractional coordinates):
Li1 0.0000 0.0000 0.0000
Cu1 0.4120 0.3942 0.9666
Cu2 0.4461 0.8391 0.3538
Pd1 0.9280 0.5661 0.6748
Cl1 0.0835 0.3475 0.9178
Cl2 0.1615 0.7892 0.6617
Cl3 0.3279 0.7384 0.1052
Cl4 0.5621 0.1228 0.1639
Cl5 0.7239 0.3338 0.6623
Cl6 0.7603 0.8009 0.4593